1.
Starting from a cell relaxed with PBE, the powder XRD pattern of LiLaMg6O8 was simulated for Cu Kα (λ = 1.5418 Å).
Kinematic intensities with the Lorentz-polarization factor, no thermal factor.

Crystal structure
```
data_LiLaMg6O8
_chemical_formula_sum 'Li1 La1 Mg6 O8'
_symmetry_space_group_name_H-M 'P 4/m m m'
_symmetry_Int_Tables_number 123
_symmetry_space_group_name_Hall '-P 4 2'
_cell_length_a 4.4834
_cell_length_b 4.4834
_cell_length_c 8.9108
_cell_angle_alpha 90.00
_cell_angle_beta 90.00
_cell_angle_gamma 90.00
loop_
_atom_site_label
_atom_site_type_symbol
_atom_site_fract_x
_atom_site_fract_y
_atom_site_fract_z
Li1 Li 0.0000 0.0000 0.0000
La1 La 0.0000 0.0000 0.5000
Mg1 Mg 0.0000 0.5000 0.2211
Mg2 Mg 0.5000 0.5000 0.0000
Mg3 Mg 0.5000 0.5000 0.5000
O1 O 0.0000 0.0000 0.2343
O2 O 0.0000 0.5000 0.0000
O3 O 0.0000 0.5000 0.5000
O4 O 0.5000 0.5000 0.2533
```

Largest 12 diffraction maxima, by angle, 5° ≤ 2θ ≤ 70°:
hkl 0 0 1, 8.911 Å, 2θ = 9.93°, I 91; hkl 1 0 0, 4.483 Å, 2θ = 19.80°, I 27; hkl 1 0 1, 4.005 Å, 2θ = 22.20°, I 85; hkl 1 0 2, 3.164 Å, 2θ = 28.21°, I 35; hkl 1 1 1, 2.987 Å, 2θ = 29.92°, I 54; hkl 1 1 2, 2.583 Å, 2θ = 34.73°, I 41; hkl 1 0 3, 2.476 Å, 2θ = 36.28°, I 30; hkl 2 0 0, 2.242 Å, 2θ = 40.23°, I 100; hkl 0 0 4, 2.228 Å, 2θ = 40.49°, I 43; hkl 2 1 1, 1.956 Å, 2θ = 46.42°, I 24; hkl 2 2 0, 1.585 Å, 2θ = 58.20°, I 30; hkl 2 0 4, 1.580 Å, 2θ = 58.40°, I 52



2.
Starting from a cell relaxed with PBE, the powder XRD pattern of LiLa5Si4N10O was simulated for Cu Kα (λ = 1.5418 Å).
Kinematic intensities with the Lorentz-polarization factor, no thermal factor.

Crystal structure
```
data_LiLa5Si4N10O
_chemical_formula_sum 'Li1 La5 Si4 N10 O1'
_symmetry_space_group_name_H-M 'P 1'
_symmetry_Int_Tables_number 1
_cell_length_a 5.7683
_cell_length_b 6.5866
_cell_length_c 8.3886
_cell_angle_alpha 103.14
_cell_angle_beta 107.61
_cell_angle_gamma 94.61
loop_
_symmetry_equiv_pos_as_xyz
'x,y,z'
loop_
_atom_site_label
_atom_site_type_symbol
_atom_site_fract_x
_atom_site_fract_y
_atom_site_fract_z
Li1 Li 0.0000 0.0000 0.0000
La1 La 0.0012 0.4816 0.9986
La2 La 0.2241 0.2761 0.3841
La3 La 0.4191 0.1425 0.8399
La4 La 0.5939 0.8453 0.1704
La5 La 0.7918 0.7304 0.6394
Si1 Si 0.1260 0.7847 0.4157
Si2 Si 0.3362 0.6389 0.7680
Si3 Si 0.6786 0.3513 0.2496
Si4 Si 0.8841 0.2034 0.6024
N1 N 0.0098 0.9979 0.5037
N2 N 0.1431 0.3995 0.7115
N3 N 0.2158 0.8201 0.8948
N4 N 0.3357 0.6983 0.5710
N5 N 0.3742 0.3594 0.1385
N6 N 0.6422 0.6381 0.8806
N7 N 0.6756 0.2903 0.4434
N8 N 0.7826 0.1236 0.7539
N9 N 0.8014 0.1661 0.1279
N10 N 0.8743 0.5903 0.2979
O1 O 0.2375 0.8606 0.2724
```

Largest 12 diffraction maxima, by angle, 5° ≤ 2θ ≤ 70°:
hkl -1 1 1, 4.035 Å, 2θ = 22.03°, I 65; hkl 1 1 0, 3.827 Å, 2θ = 23.24°, I 63; hkl 0 1 -2, 3.765 Å, 2θ = 23.63°, I 71; hkl 2 0 -1, 2.874 Å, 2θ = 31.12°, I 62; hkl 1 -2 1, 2.817 Å, 2θ = 31.76°, I 64; hkl 1 0 2, 2.744 Å, 2θ = 32.64°, I 56; hkl 0 2 1, 2.690 Å, 2θ = 33.30°, I 100; hkl 1 2 -2, 2.628 Å, 2θ = 34.11°, I 57; hkl 2 -1 1, 2.359 Å, 2θ = 38.14°, I 41; hkl 2 1 -3, 2.217 Å, 2θ = 40.71°, I 28; hkl 0 3 -1, 2.188 Å, 2θ = 41.26°, I 35; hkl 0 2 -4, 1.883 Å, 2θ = 48.35°, I 24



3.
Starting from a cell relaxed with PBE, the powder XRD pattern of NaLiLa2Ti4O12 was simulated for Cu Kα (λ = 1.5418 Å).
Kinematic intensities with the Lorentz-polarization factor, no thermal factor.

Crystal structure
```
data_NaLiLa2Ti4O12
_chemical_formula_sum 'Na1 Li1 La2 Ti4 O12'
_symmetry_space_group_name_H-M 'P 4/m m m'
_symmetry_Int_Tables_number 123
_symmetry_space_group_name_Hall '-P 4 2'
_cell_length_a 7.8338
_cell_length_b 7.8338
_cell_length_c 3.9075
_cell_angle_alpha 90.00
_cell_angle_beta 90.00
_cell_angle_gamma 90.00
loop_
_atom_site_label
_atom_site_type_symbol
_atom_site_fract_x
_atom_site_fract_y
_atom_site_fract_z
Na1 Na 0.0000 0.0000 0.0000
Li1 Li 0.5000 0.5000 0.5000
La1 La 0.0000 0.5000 0.0000
Ti1 Ti 0.2483 0.2483 0.5000
O1 O 0.0000 0.2678 0.5000
O2 O 0.2414 0.2414 0.0000
O3 O 0.2450 0.5000 0.5000
```

Largest 12 diffraction maxima, by angle, 5° ≤ 2θ ≤ 70°:
hkl 1 1 0, 5.539 Å, 2θ = 16.00°, I 68; hkl 1 1 1, 3.193 Å, 2θ = 27.94°, I 33; hkl 2 2 0, 2.767 Å, 2θ = 32.35°, I 100; hkl 3 1 0, 2.477 Å, 2θ = 36.26°, I 15; hkl 2 2 1, 2.260 Å, 2θ = 39.90°, I 19; hkl 3 1 1, 2.092 Å, 2θ = 43.24°, I 24; hkl 4 0 0, 1.958 Å, 2θ = 46.36°, I 30; hkl 0 0 2, 1.954 Å, 2θ = 46.48°, I 15; hkl 1 1 2, 1.842 Å, 2θ = 49.47°, I 7; hkl 2 2 2, 1.598 Å, 2θ = 57.70°, I 38; hkl 5 1 0, 1.535 Å, 2θ = 60.30°, I 12; hkl 4 0 2, 1.384 Å, 2θ = 67.72°, I 25



4.
Starting from a cell relaxed with PBE, the powder XRD pattern of NaLiLa2Ti4O12 was simulated for Cu Kα (λ = 1.5418 Å).
Kinematic intensities with the Lorentz-polarization factor, no thermal factor.

Crystal structure
```
data_NaLiLa2Ti4O12
_chemical_formula_sum 'Na1 Li1 La2 Ti4 O12'
_symmetry_space_group_name_H-M 'P 1'
_symmetry_Int_Tables_number 1
_cell_length_a 5.4899
_cell_length_b 5.4933
_cell_length_c 8.0063
_cell_angle_alpha 90.10
_cell_angle_beta 90.22
_cell_angle_gamma 90.08
loop_
_symmetry_equiv_pos_as_xyz
'x,y,z'
loop_
_atom_site_label
_atom_site_type_symbol
_atom_site_fract_x
_atom_site_fract_y
_atom_site_fract_z
Na1 Na 0.0000 0.0000 0.0000
Li1 Li 0.9739 0.0068 0.5712
La1 La 0.4864 0.5089 0.4530
La2 La 0.4897 0.5042 0.9612
Ti1 Ti 0.4831 0.0098 0.7074
Ti2 Ti 0.4927 0.0078 0.2116
Ti3 Ti 0.9837 0.5075 0.2090
Ti4 Ti 0.9909 0.5099 0.7058
O1 O 0.0421 0.5108 0.9327
O2 O 0.2298 0.2578 0.6527
O3 O 0.2458 0.7609 0.2072
O4 O 0.2498 0.7484 0.6558
O5 O 0.2706 0.2878 0.2077
O6 O 0.4352 0.0145 0.9329
O7 O 0.5496 0.0118 0.4358
O8 O 0.7152 0.2837 0.7063
O9 O 0.7239 0.7409 0.1585
O10 O 0.7418 0.7688 0.7071
O11 O 0.7446 0.2616 0.1546
O12 O 0.9364 0.5105 0.4347
```

Largest 12 diffraction maxima, by angle, 5° ≤ 2θ ≤ 70°:
hkl 0 1 0, 5.492 Å, 2θ = 16.14°, I 100; hkl 0 1 2, 3.237 Å, 2θ = 27.56°, I 39; hkl 1 1 -2, 2.789 Å, 2θ = 32.09°, I 81; hkl 1 1 2, 2.781 Å, 2θ = 32.19°, I 26; hkl 0 2 0, 2.746 Å, 2θ = 32.61°, I 50; hkl 2 1 0, 2.456 Å, 2θ = 36.59°, I 24; hkl 0 2 -2, 2.266 Å, 2θ = 39.78°, I 20; hkl 2 1 -2, 2.095 Å, 2θ = 43.17°, I 22; hkl 0 0 4, 2.002 Å, 2θ = 45.31°, I 20; hkl 2 -2 0, 1.942 Å, 2θ = 46.79°, I 43; hkl -3 1 2, 1.595 Å, 2θ = 57.83°, I 26; hkl 3 1 2, 1.591 Å, 2θ = 57.97°, I 16